No. 1
For Re4Ni11, the GGA-PBE geometry in OQMD gives the computed X-ray diffraction stick pattern in this record (CuKα).

Structure:
Cell lengths 8.933, 8.933, 4.549 Å; angles 90.00, 90.00, 90.00 degrees
Fractional coordinates of all 30 atoms:
Re1 0.071 0.261 0.000
Re2 0.239 0.571 0.500
Re3 0.261 0.071 0.000
Re4 0.429 0.761 0.500
Re5 0.571 0.239 0.500
Re6 0.739 0.929 0.000
Re7 0.761 0.429 0.500
Re8 0.929 0.739 0.000
Ni1 0.000 0.000 0.000
Ni2 0.031 0.369 0.500
Ni3 0.103 0.103 0.500
Ni4 0.131 0.531 0.000
Ni5 0.172 0.828 0.251
Ni6 0.172 0.828 0.749
Ni7 0.328 0.328 0.249
Ni8 0.328 0.328 0.751
Ni9 0.369 0.031 0.500
Ni10 0.397 0.603 0.000
Ni11 0.469 0.869 0.000
Ni12 0.500 0.500 0.500
Ni13 0.531 0.131 0.000
Ni14 0.603 0.397 0.000
Ni15 0.631 0.969 0.500
Ni16 0.672 0.672 0.249
Ni17 0.672 0.672 0.751
Ni18 0.828 0.172 0.251
Ni19 0.828 0.172 0.749
Ni20 0.869 0.469 0.000
Ni21 0.897 0.897 0.500
Ni22 0.969 0.631 0.500

Peak list (8 most intense, 2θ = 10–90°, sorted by position)
| two_theta | Rel. int. |
| --- | --- |
| 21.93 | 41 |
| 24.11 | 35 |
| 29.76 | 35 |
| 39.63 | 39 |
| 41.69 | 82 |
| 45.91 | 68 |
| 46.42 | 100 |
| 47.59 | 86 |


No. 2
For SrCdAgAs2, the GGA-PBE geometry in OQMD gives the computed X-ray diffraction stick pattern in this record (CuKα).

Structure:
Cell lengths 9.247, 9.247, 6.242 Å; angles 90.00, 90.00, 152.48 degrees
Fractional coordinates of all 10 atoms:
Sr1 0.185 0.815 0.500
Sr2 0.815 0.185 0.000
Cd1 0.389 0.611 0.442
Cd2 0.611 0.389 0.942
Ag1 0.024 0.976 0.193
Ag2 0.976 0.024 0.693
As1 0.191 0.809 0.001
As2 0.459 0.541 0.976
As3 0.541 0.459 0.476
As4 0.809 0.191 0.501

Peak list (8 most intense, 2θ = 10–90°, sorted by position)
| two_theta | Rel. int. |
| --- | --- |
| 28.60 | 38 |
| 32.17 | 100 |
| 33.19 | 30 |
| 35.31 | 39 |
| 35.62 | 71 |
| 38.43 | 70 |
| 41.03 | 54 |
| 43.32 | 33 |


No. 3
For HoTmGe2Au2, the GGA-PBE geometry in OQMD gives the computed X-ray diffraction stick pattern in this record (CuKα).

Structure:
Cell lengths 4.459, 4.459, 7.249 Å; angles 90.00, 90.00, 120.00 degrees
Fractional coordinates of all 6 atoms:
Ho1 0.000 0.000 0.000
Tm1 0.000 0.000 0.500
Ge1 0.333 0.667 0.207
Ge2 0.667 0.333 0.706
Au1 0.333 0.667 0.793
Au2 0.667 0.333 0.297

Peak list (8 most intense, 2θ = 10–90°, sorted by position)
| two_theta | Rel. int. |
| --- | --- |
| 26.15 | 35 |
| 33.92 | 100 |
| 40.46 | 75 |
| 44.22 | 22 |
| 53.79 | 27 |
| 66.49 | 17 |
| 69.42 | 25 |
| 73.58 | 13 |


No. 4
For Y2HoTm2Lu2Ni2Te2, the GGA-PBE geometry in OQMD gives the computed X-ray diffraction stick pattern in this record (CuKα).

Structure:
Cell lengths 9.283, 9.283, 9.283 Å; angles 156.10, 66.94, 118.52 degrees
Fractional coordinates of all 11 atoms:
Y1 0.147 0.000 0.147
Y2 0.853 0.000 0.853
Ho1 0.233 0.733 0.500
Tm1 0.516 0.149 0.366
Tm2 0.783 0.149 0.634
Lu1 0.168 0.353 0.815
Lu2 0.537 0.353 0.185
Ni1 0.403 0.664 0.739
Ni2 0.924 0.664 0.261
Te1 0.498 0.498 0.000
Te2 0.894 0.394 0.500

Peak list (8 most intense, 2θ = 10–90°, sorted by position)
| two_theta | Rel. int. |
| --- | --- |
| 24.99 | 25 |
| 30.35 | 28 |
| 30.48 | 49 |
| 33.21 | 82 |
| 34.20 | 100 |
| 34.71 | 95 |
| 47.30 | 31 |
| 59.01 | 31 |


No. 5
For SmZn2GaPd2, the GGA-PBE geometry in OQMD gives the computed X-ray diffraction stick pattern in this record (CuKα).

Structure:
Cell lengths 5.340, 5.340, 4.343 Å; angles 90.00, 90.00, 119.95 degrees
Fractional coordinates of all 6 atoms:
Sm1 0.000 0.000 0.000
Zn1 0.000 0.500 0.500
Zn2 0.500 0.000 0.500
Ga1 0.500 0.500 0.500
Pd1 0.333 0.667 0.000
Pd2 0.667 0.333 0.000

Peak list (8 most intense, 2θ = 10–90°, sorted by position)
| two_theta | Rel. int. |
| --- | --- |
| 28.19 | 17 |
| 33.56 | 36 |
| 38.94 | 18 |
| 39.62 | 100 |
| 41.59 | 26 |
| 54.46 | 18 |
| 64.09 | 24 |
| 85.34 | 18 |


No. 6
For BaPrTe3Au, the GGA-PBE geometry in OQMD gives the computed X-ray diffraction stick pattern in this record (CuKα).

Structure:
Cell lengths 10.423, 10.423, 9.180 Å; angles 100.91, 100.91, 25.29 degrees
Fractional coordinates of all 12 atoms:
Ba1 0.126 0.126 0.080
Ba2 0.874 0.874 0.920
Pr1 0.162 0.162 0.594
Pr2 0.838 0.838 0.406
Te1 0.000 0.000 0.500
Te2 0.315 0.315 0.157
Te3 0.325 0.325 0.638
Te4 0.500 0.500 0.000
Te5 0.675 0.675 0.362
Te6 0.685 0.685 0.843
Au1 0.450 0.450 0.290
Au2 0.550 0.550 0.710

Peak list (8 most intense, 2θ = 10–90°, sorted by position)
| two_theta | Rel. int. |
| --- | --- |
| 26.69 | 35 |
| 26.81 | 23 |
| 27.57 | 100 |
| 32.77 | 36 |
| 33.35 | 24 |
| 38.37 | 22 |
| 39.28 | 26 |
| 39.49 | 33 |


No. 7
For CuAg2, the GGA-PBE geometry in OQMD gives the computed X-ray diffraction stick pattern in this record (CuKα).

Structure:
Cell lengths 7.406, 7.406, 6.899 Å; angles 92.75, 92.75, 22.29 degrees
Fractional coordinates of all 9 atoms:
Cu1 0.000 0.000 0.000
Cu2 0.216 0.216 0.298
Cu3 0.561 0.561 0.293
Ag1 0.109 0.109 0.615
Ag2 0.332 0.332 0.986
Ag3 0.448 0.448 0.672
Ag4 0.658 0.658 0.974
Ag5 0.776 0.776 0.627
Ag6 0.898 0.898 0.319

Peak list (8 most intense, 2θ = 10–90°, sorted by position)
| two_theta | Rel. int. |
| --- | --- |
| 38.85 | 35 |
| 39.16 | 100 |
| 44.68 | 46 |
| 46.94 | 19 |
| 66.54 | 13 |
| 67.06 | 10 |
| 78.53 | 8 |
| 78.74 | 13 |


No. 8
For Np2UAs3, the GGA-PBE geometry in OQMD gives the computed X-ray diffraction stick pattern in this record (CuKα).

Structure:
Cell lengths 7.105, 7.105, 7.105 Å; angles 146.41, 131.81, 60.03 degrees
Fractional coordinates of all 6 atoms:
Np1 0.167 0.167 0.000
Np2 0.833 0.833 0.000
U1 0.500 0.500 0.000
As1 0.000 0.500 0.500
As2 0.334 0.834 0.500
As3 0.666 0.166 0.500

Peak list (8 most intense, 2θ = 10–90°, sorted by position)
| two_theta | Rel. int. |
| --- | --- |
| 26.60 | 46 |
| 30.81 | 100 |
| 44.14 | 76 |
| 52.28 | 24 |
| 54.80 | 27 |
| 64.19 | 13 |
| 72.89 | 35 |
| 81.20 | 27 |


No. 9
For PrNdB4Os4, the GGA-PBE geometry in OQMD gives the computed X-ray diffraction stick pattern in this record (CuKα).

Structure:
Cell lengths 6.816, 6.026, 5.650 Å; angles 71.36, 56.89, 51.76 degrees
Fractional coordinates of all 10 atoms:
Pr1 0.000 0.000 0.000
Nd1 0.250 0.250 0.250
B1 0.316 0.684 0.316
B2 0.566 0.934 0.566
B3 0.684 0.316 0.684
B4 0.934 0.566 0.934
Os1 0.363 0.363 0.637
Os2 0.614 0.614 0.886
Os3 0.637 0.637 0.363
Os4 0.886 0.886 0.614

Peak list (8 most intense, 2θ = 10–90°, sorted by position)
| two_theta | Rel. int. |
| --- | --- |
| 18.76 | 18 |
| 31.42 | 91 |
| 33.46 | 100 |
| 39.29 | 33 |
| 42.24 | 45 |
| 50.58 | 25 |
| 58.52 | 24 |
| 85.07 | 22 |


No. 10
For SmYSi4Os2, the GGA-PBE geometry in OQMD gives the computed X-ray diffraction stick pattern in this record (CuKα).

Structure:
Cell lengths 4.445, 4.109, 8.168 Å; angles 90.00, 101.76, 90.00 degrees
Fractional coordinates of all 8 atoms:
Sm1 0.000 0.000 0.000
Y1 0.822 0.500 0.595
Si1 0.078 0.500 0.295
Si2 0.376 0.000 0.709
Si3 0.451 0.500 0.890
Si4 0.749 0.000 0.306
Os1 0.297 0.000 0.415
Os2 0.531 0.500 0.186

Peak list (8 most intense, 2θ = 10–90°, sorted by position)
| two_theta | Rel. int. |
| --- | --- |
| 11.06 | 100 |
| 29.91 | 48 |
| 30.44 | 97 |
| 31.21 | 78 |
| 33.41 | 70 |
| 35.74 | 51 |
| 40.33 | 50 |
| 44.07 | 38 |